The following is a theoretical PXRD pattern of BaCoTeO. It was derived from DFT lattice parameters and positions (PBE+U), using Cu Kα (λ = 1.5418 Å).

Crystal structure
a b c (Å): 7.6911 7.1438 7.5327
angles (deg): 90.00 90.00 90.00
Space group Pca2_1 (No. 29)
Asymmetric unit:
Ba (0.1207, 0.1272, 0.0000) (multiplicity 4)
Co (0.0432, 0.6471, 0.1266) (multiplicity 4)
Te (0.1469, 0.6132, 0.7903) (multiplicity 4)
O (0.0736, 0.1261, 0.6513) (multiplicity 4)

The 10 most intense peaks (2θ from 15° to 90°), sorted by position:
Position (°2θ)	I_rel
26.02	100
26.76	66
27.53	94
28.91	25
29.21	53
30.03	77
39.82	41
44.97	53
45.17	28
58.27	25